Entry 1:
Theoretical powder XRD pattern of K2Sn2Te3 for a wavelength of 1.5418 Å, from a cell relaxed with GGA-PBE.

Structural model:
```
data_K2Sn2Te3
_chemical_formula_sum 'K4 Sn4 Te6'
_symmetry_space_group_name_H-M 'C 1 2/m 1'
_symmetry_Int_Tables_number 12
_cell_length_a 13.027
_cell_length_b 5.943
_cell_length_c 7.330
_cell_angle_alpha 90.00
_cell_angle_beta 108.13
_cell_angle_gamma 90.00
loop_
_symmetry_equiv_pos_as_xyz
'x,y,z'
'-x,-y,-z'
'-x,y,-z'
'x,-y,z'
'x+1/2,y+1/2,z'
'-x+1/2,-y+1/2,-z'
'-x+1/2,y+1/2,-z'
'x+1/2,-y+1/2,z'
loop_
_atom_site_label
_atom_site_fract_x
_atom_site_fract_y
_atom_site_fract_z
K1 0.167 0.000 0.085
Sn1 0.112 0.500 0.427
Te1 0.000 0.500 0.000
Te2 0.164 0.000 0.591
```

Most intense lines, 2θ from 10° to 90°, in order of rising 2θ:
2θ (°), d [Å], I/Imax
12.7, 6.966, 79
19.5, 4.553, 38
25.6, 3.483, 54
26.3, 3.390, 64
27.7, 3.225, 69
30.1, 2.971, 100
32.5, 2.755, 99
39.9, 2.260, 33
41.3, 2.185, 48
45.2, 2.008, 35

Entry 2:
Theoretical powder XRD pattern of CeSmAu3 for a wavelength of 1.5418 Å, from a cell relaxed with GGA-PBE.

Structural model:
```
data_CeSmAu3
_chemical_formula_sum 'Ce4 Sm4 Au12'
_symmetry_space_group_name_H-M 'C m c m'
_symmetry_Int_Tables_number 63
_symmetry_space_group_name_Hall '-C 2c 2'
_cell_length_a 3.668
_cell_length_b 28.511
_cell_length_c 4.679
_cell_angle_alpha 90.00
_cell_angle_beta 90.00
_cell_angle_gamma 90.00
loop_
_atom_site_label
_atom_site_fract_x
_atom_site_fract_y
_atom_site_fract_z
Ce1 0.000 0.072 0.250
Sm1 0.000 0.206 0.750
Au1 0.000 0.317 0.750
Au2 0.000 0.379 0.250
Au3 0.000 0.475 0.250
```

Most intense lines, 2θ from 10° to 90°, in order of rising 2θ:
2θ (°), d [Å], I/Imax
24.5, 3.638, 22
32.4, 2.762, 100
32.9, 2.726, 34
36.9, 2.435, 71
38.5, 2.340, 43
42.4, 2.134, 37
49.7, 1.834, 21
51.5, 1.775, 19
63.5, 1.465, 41
64.6, 1.443, 19

Entry 3:
Theoretical powder XRD pattern of CuIrBr6 for a wavelength of 1.5418 Å, from a cell relaxed with GGA-PBE.

Structural model:
```
data_CuIrBr6
_chemical_formula_sum 'Cu2 Ir2 Br12'
_symmetry_space_group_name_H-M 'C 1 2/m 1'
_symmetry_Int_Tables_number 12
_cell_length_a 6.898
_cell_length_b 11.655
_cell_length_c 6.887
_cell_angle_alpha 90.00
_cell_angle_beta 116.64
_cell_angle_gamma 90.00
loop_
_symmetry_equiv_pos_as_xyz
'x,y,z'
'-x,-y,-z'
'-x,y,-z'
'x,-y,z'
'x+1/2,y+1/2,z'
'-x+1/2,-y+1/2,-z'
'-x+1/2,y+1/2,-z'
'x+1/2,-y+1/2,z'
loop_
_atom_site_label
_atom_site_fract_x
_atom_site_fract_y
_atom_site_fract_z
Cu1 0.000 0.000 0.000
Ir1 0.000 0.500 0.500
Br1 0.207 0.500 0.288
Br2 0.242 0.145 0.244
```

Most intense lines, 2θ from 10° to 90°, in order of rising 2θ:
2θ (°), d [Å], I/Imax
15.2, 5.828, 75
16.3, 5.450, 25
16.9, 5.239, 100
25.8, 3.457, 18
30.5, 2.933, 55
33.8, 2.648, 95
42.7, 2.117, 31
46.2, 1.966, 62
46.3, 1.960, 17
62.7, 1.481, 17

Entry 4:
Theoretical powder XRD pattern of Li2PmMnN4 for a wavelength of 1.5418 Å, from a cell relaxed with GGA-PBE.

Structural model:
```
data_Li2PmMnN4
_chemical_formula_sum 'Li4 Pm2 Mn2 N8'
_symmetry_space_group_name_H-M 'I -4 2 m'
_symmetry_Int_Tables_number 121
_symmetry_space_group_name_Hall 'I -4 2'
_cell_length_a 5.381
_cell_length_b 5.381
_cell_length_c 6.351
_cell_angle_alpha 90.00
_cell_angle_beta 90.00
_cell_angle_gamma 90.00
loop_
_atom_site_label
_atom_site_fract_x
_atom_site_fract_y
_atom_site_fract_z
Li1 0.000 0.500 0.250
Pm1 0.000 0.000 0.000
Mn1 0.000 0.000 0.500
N1 0.183 0.183 0.656
```

Most intense lines, 2θ from 10° to 90°, in order of rising 2θ:
2θ (°), d [Å], I/Imax
21.6, 4.106, 33
23.4, 3.805, 100
28.1, 3.176, 22
33.3, 2.690, 30
36.9, 2.438, 68
40.1, 2.250, 25
44.1, 2.053, 37
47.8, 1.902, 19
53.9, 1.702, 15
61.9, 1.500, 30